[1]
Calculated X-ray diffraction stick pattern
Compound: Sr2Cu3O5
Radiation: copper Kα
Structure: a DFT-relaxed cell (GGA-PBE, the Materials Project)
Lines closer than 0.1° are merged.

Unit cell a=9.7113 b=9.7113 c=9.7113 alpha=159.48 beta=156.52 gamma=31.38
Fractional coordinates of all 10 atoms:
1 Sr 0.1058 0.1058 0.0000
2 Sr 0.8942 0.8942 0.0000
3 Cu 0.2879 0.2879 0.0000
4 Cu 0.5000 0.5000 0.0000
5 Cu 0.7121 0.7121 0.0000
6 O 0.0000 0.5000 0.5000
7 O 0.2192 0.7192 0.5000
8 O 0.3962 0.3962 0.0000
9 O 0.6038 0.6038 0.0000
10 O 0.7808 0.2808 0.5000

Principal peaks in the range 15° ≤ 2θ ≤ 90°, in order of rising 2θ:
2θ 32.98, intensity 71
2θ 34.45, intensity 99
2θ 35.34, intensity 100
2θ 45.93, intensity 34
2θ 48.70, intensity 20
2θ 52.93, intensity 21
2θ 59.25, intensity 42
2θ 61.01, intensity 30
2θ 63.79, intensity 22
2θ 69.17, intensity 13
2θ 72.64, intensity 15
2θ 88.77, intensity 11

[2]
Calculated X-ray diffraction stick pattern
Compound: SrCuO3
Radiation: copper Kα
Structure: a DFT-relaxed cell (GGA-PBE, the Materials Project)
Lines closer than 0.1° are merged.

Unit cell a=3.8358 b=10.8162 c=8.5212 alpha=90.00 beta=90.06 gamma=90.00
Fractional coordinates of all 30 atoms:
1 Sr 0.0000 0.0000 0.0000
2 Sr 0.9998 0.5000 0.0113
3 Sr 0.0014 0.2481 0.3086
4 Sr 0.0014 0.7519 0.3086
5 Sr 0.9986 0.2528 0.7012
6 Sr 0.9986 0.7472 0.7012
7 Cu 0.4992 0.5000 0.6765
8 Cu 0.4996 0.0000 0.6665
9 Cu 0.5000 0.2501 0.0052
10 Cu 0.5004 0.5000 0.3447
11 Cu 0.5000 0.7499 0.0052
12 Cu 0.5012 0.0000 0.3346
13 O 0.9996 0.0000 0.6964
14 O 0.0000 0.2501 0.0049
15 O 0.0004 0.5000 0.3171
16 O 0.0000 0.7499 0.0049
17 O 0.0009 0.0000 0.3052
18 O 0.4992 0.1260 0.8290
19 O 0.4991 0.3741 0.8410
20 O 0.4995 0.3766 0.5114
21 O 0.4995 0.6234 0.5114
22 O 0.4991 0.6259 0.8410
23 O 0.4992 0.8740 0.8290
24 O 0.5006 0.1233 0.4998
25 O 0.5009 0.1255 0.1696
26 O 0.5008 0.3745 0.1806
27 O 0.5008 0.6255 0.1806
28 O 0.5009 0.8745 0.1696
29 O 0.5006 0.8767 0.4998
30 O 0.9991 0.5000 0.7056

Principal peaks in the range 15° ≤ 2θ ≤ 90°, in order of rising 2θ:
2θ 28.53, intensity 17
2θ 30.44, intensity 99
2θ 31.50, intensity 52
2θ 33.13, intensity 53
2θ 35.60, intensity 100
2θ 46.36, intensity 77
2θ 47.40, intensity 39
2θ 58.03, intensity 18
2θ 59.05, intensity 20
2θ 60.79, intensity 22
2θ 62.01, intensity 24
2θ 68.47, intensity 41

[3]
Calculated X-ray diffraction stick pattern
Compound: Sr8Cu8O17
Radiation: copper Kα
Structure: a DFT-relaxed cell (GGA-PBE, the Materials Project)
Lines closer than 0.1° are merged.

Unit cell a=8.8026 b=8.8026 c=8.1186 alpha=115.74 beta=115.74 gamma=52.81
Fractional coordinates of all 33 atoms:
1 Sr 0.0000 0.5000 0.0000
2 Sr 0.1411 0.6187 0.4999
3 Sr 0.2487 0.7513 0.0000
4 Sr 0.3813 0.8589 0.5001
5 Sr 0.5000 0.0000 0.0000
6 Sr 0.6187 0.1411 0.4999
7 Sr 0.7513 0.2487 0.0000
8 Sr 0.8589 0.3813 0.5001
9 Cu 0.0650 0.0650 0.7595
10 Cu 0.1843 0.1843 0.2465
11 Cu 0.3113 0.3113 0.7548
12 Cu 0.4349 0.4349 0.2384
13 Cu 0.5651 0.5651 0.7616
14 Cu 0.6887 0.6887 0.2452
15 Cu 0.8157 0.8157 0.7535
16 Cu 0.9350 0.9350 0.2405
17 O 0.0614 0.5611 0.7452
18 O 0.0616 0.0616 0.2534
19 O 0.1782 0.6869 0.2303
20 O 0.1848 0.1848 0.7454
21 O 0.3024 0.3024 0.2337
22 O 0.3131 0.8218 0.7697
23 O 0.4350 0.4350 0.7660
24 O 0.4389 0.9386 0.2548
25 O 0.5000 0.5000 0.5000
26 O 0.5611 0.0614 0.7452
27 O 0.5650 0.5650 0.2340
28 O 0.6869 0.1782 0.2303
29 O 0.6976 0.6976 0.7663
30 O 0.8152 0.8152 0.2546
31 O 0.8218 0.3131 0.7697
32 O 0.9384 0.9384 0.7466
33 O 0.9386 0.4389 0.2548

Principal peaks in the range 15° ≤ 2θ ≤ 90°, in order of rising 2θ:
2θ 32.23, intensity 75
2θ 33.98, intensity 100
2θ 34.09, intensity 99
2θ 46.05, intensity 31
2θ 46.39, intensity 30
2θ 51.48, intensity 21
2θ 58.52, intensity 39
2θ 58.74, intensity 39
2θ 62.05, intensity 24
2θ 67.43, intensity 18
2θ 71.53, intensity 14
2θ 71.79, intensity 14

[4]
Calculated X-ray diffraction stick pattern
Compound: Sr2Cu3O5
Radiation: copper Kα
Structure: a DFT-relaxed cell (GGA-PBE, the Materials Project)
Lines closer than 0.1° are merged.

Unit cell a=9.9903 b=9.9903 c=3.5103 alpha=90.00 beta=90.00 gamma=157.23
Fractional coordinates of all 10 atoms:
1 Sr 0.1010 0.8990 0.0000
2 Sr 0.8990 0.1010 0.0000
3 Cu 0.3010 0.6990 0.5000
4 Cu 0.5000 0.5000 0.5000
5 Cu 0.6990 0.3010 0.5000
6 O 0.0000 0.0000 0.5000
7 O 0.2031 0.7969 0.5000
8 O 0.3984 0.6016 0.5000
9 O 0.6016 0.3984 0.5000
10 O 0.7969 0.2031 0.5000

Principal peaks in the range 15° ≤ 2θ ≤ 90°, in order of rising 2θ:
2θ 31.35, intensity 65
2θ 32.20, intensity 83
2θ 34.51, intensity 100
2θ 37.63, intensity 39
2θ 46.01, intensity 35
2θ 46.36, intensity 34
2θ 52.11, intensity 24
2θ 54.82, intensity 24
2θ 56.74, intensity 23
2θ 62.59, intensity 26
2θ 67.38, intensity 20
2θ 72.29, intensity 19

[5]
Calculated X-ray diffraction stick pattern
Compound: SrCuO3
Radiation: copper Kα
Structure: a DFT-relaxed cell (GGA-PBE, the Materials Project)
Lines closer than 0.1° are merged.

Unit cell a=3.8559 b=5.4096 c=8.5526 alpha=90.00 beta=90.00 gamma=90.00
Fractional coordinates of all 15 atoms:
1 Sr 0.0000 0.0000 0.0000
2 Sr 0.0000 0.5000 0.3031
3 Sr 0.0000 0.5000 0.6969
4 Cu 0.5000 0.0000 0.3342
5 Cu 0.5000 0.0000 0.6658
6 Cu 0.5000 0.5000 0.0000
7 O 0.0000 0.0000 0.3071
8 O 0.0000 0.0000 0.6929
9 O 0.0000 0.5000 0.0000
10 O 0.5000 0.2486 0.5000
11 O 0.5000 0.2502 0.1693
12 O 0.5000 0.2502 0.8307
13 O 0.5000 0.7498 0.1693
14 O 0.5000 0.7498 0.8307
15 O 0.5000 0.7514 0.5000

Principal peaks in the range 15° ≤ 2θ ≤ 90°, in order of rising 2θ:
2θ 28.43, intensity 17
2θ 30.32, intensity 97
2θ 31.38, intensity 51
2θ 33.12, intensity 52
2θ 35.47, intensity 100
2θ 46.27, intensity 74
2θ 47.14, intensity 39
2θ 57.73, intensity 18
2θ 58.82, intensity 20
2θ 60.69, intensity 21
2θ 61.76, intensity 24
2θ 68.19, intensity 41

[6]
Calculated X-ray diffraction stick pattern
Compound: Sr2CuO3
Radiation: copper Kα
Structure: a DFT-relaxed cell (GGA-PBE, the Materials Project)
Lines closer than 0.1° are merged.

Unit cell a=7.1403 b=7.1403 c=5.6028 alpha=90.00 beta=90.00 gamma=134.71
Fractional coordinates of all 12 atoms:
1 Sr 0.1126 0.8874 0.7500
2 Sr 0.3660 0.6340 0.7500
3 Sr 0.6340 0.3660 0.2500
4 Sr 0.8874 0.1126 0.2500
5 Cu 0.2346 0.7654 0.2500
6 Cu 0.7654 0.2346 0.7500
7 O 0.0000 0.5000 0.0000
8 O 0.0000 0.5000 0.5000
9 O 0.0691 0.9309 0.2500
10 O 0.5000 0.0000 0.0000
11 O 0.5000 0.0000 0.5000
12 O 0.9309 0.0691 0.7500

Principal peaks in the range 15° ≤ 2θ ≤ 90°, in order of rising 2θ:
2θ 23.65, intensity 13
2θ 30.54, intensity 100
2θ 31.95, intensity 38
2θ 32.57, intensity 36
2θ 41.26, intensity 49
2θ 42.35, intensity 13
2θ 42.84, intensity 12
2θ 46.27, intensity 42
2θ 56.06, intensity 19
2θ 56.86, intensity 17
2θ 63.33, intensity 13
2θ 64.07, intensity 12

[7]
Calculated X-ray diffraction stick pattern
Compound: Sr2Cu2O5
Radiation: copper Kα
Structure: a DFT-relaxed cell (GGA-PBE, the Materials Project)
Lines closer than 0.1° are merged.

Unit cell a=5.5465 b=11.0375 c=3.7515 alpha=90.00 beta=90.00 gamma=90.00
Fractional coordinates of all 18 atoms:
1 Sr 0.2130 0.1350 0.0000
2 Sr 0.2870 0.6350 0.0000
3 Sr 0.7130 0.3650 0.0000
4 Sr 0.7870 0.8650 0.0000
5 Cu 0.2422 0.3774 0.5000
6 Cu 0.2578 0.8774 0.5000
7 Cu 0.7422 0.1226 0.5000
8 Cu 0.7578 0.6226 0.5000
9 O 0.0000 0.0000 0.5000
10 O 0.0175 0.7308 0.5000
11 O 0.2071 0.4038 0.0000
12 O 0.2929 0.9038 0.0000
13 O 0.4825 0.2308 0.5000
14 O 0.5000 0.5000 0.5000
15 O 0.5175 0.7692 0.5000
16 O 0.7071 0.0962 0.0000
17 O 0.7929 0.5962 0.0000
18 O 0.9825 0.2692 0.5000

Principal peaks in the range 15° ≤ 2θ ≤ 90°, in order of rising 2θ:
2θ 32.28, intensity 26
2θ 32.45, intensity 28
2θ 33.08, intensity 100
2θ 46.42, intensity 30
2θ 48.53, intensity 16
2θ 58.08, intensity 16
2θ 58.29, intensity 20
2θ 59.49, intensity 9
2θ 59.60, intensity 10
2θ 69.42, intensity 16
2θ 77.49, intensity 6
2θ 80.66, intensity 8

[8]
Calculated X-ray diffraction stick pattern
Compound: Sr2CuO3
Radiation: copper Kα
Structure: a DFT-relaxed cell (GGA-PBE, the Materials Project)
Lines closer than 0.1° are merged.

Unit cell a=3.5487 b=3.9732 c=12.6927 alpha=90.00 beta=90.00 gamma=90.00
Fractional coordinates of all 12 atoms:
1 Sr 0.0000 0.0000 0.1468
2 Sr 0.0000 0.0000 0.8532
3 Sr 0.5000 0.5000 0.3532
4 Sr 0.5000 0.5000 0.6468
5 Cu 0.0000 0.0000 0.5000
6 Cu 0.5000 0.5000 0.0000
7 O 0.0000 0.0000 0.3453
8 O 0.0000 0.0000 0.6547
9 O 0.0000 0.5000 0.5000
10 O 0.5000 0.0000 0.0000
11 O 0.5000 0.5000 0.1547
12 O 0.5000 0.5000 0.8453

Principal peaks in the range 15° ≤ 2θ ≤ 90°, in order of rising 2θ:
2θ 30.87, intensity 62
2θ 32.94, intensity 74
2θ 33.87, intensity 100
2θ 42.74, intensity 22
2θ 44.58, intensity 19
2θ 45.67, intensity 26
2θ 51.50, intensity 18
2θ 55.62, intensity 30
2θ 57.45, intensity 30
2θ 61.27, intensity 19
2θ 69.06, intensity 16
2θ 71.26, intensity 13

[9]
Calculated X-ray diffraction stick pattern
Compound: Sr2YTaCu2O7
Radiation: copper Kα
Structure: a DFT-relaxed cell (GGA-PBE, the Materials Project)
Lines closer than 0.1° are merged.

Unit cell a=12.5238 b=12.5238 c=5.5664 alpha=102.44 beta=102.44 gamma=143.65
Fractional coordinates of all 26 atoms:
1 Sr 0.1107 0.8893 0.0000
2 Sr 0.3384 0.5643 0.9517
3 Sr 0.5643 0.3384 0.9517
4 Sr 0.8893 0.1107 0.0000
5 Y 0.2248 0.7272 0.9837
6 Y 0.7272 0.2248 0.9837
7 Ta 0.5629 0.5629 0.4979
8 Ta 0.8949 0.8949 0.4171
9 Cu 0.1632 0.7822 0.4809
10 Cu 0.2890 0.6696 0.4880
11 Cu 0.6696 0.2890 0.4880
12 Cu 0.7822 0.1632 0.4809
13 O 0.0212 0.3946 0.4499
14 O 0.0540 0.4318 0.9865
15 O 0.1159 0.9788 0.6050
16 O 0.3609 0.5025 0.4306
17 O 0.3946 0.0212 0.4499
18 O 0.4318 0.0540 0.9865
19 O 0.5025 0.3609 0.4306
20 O 0.5216 0.8937 0.9840
21 O 0.5362 0.5362 0.1121
22 O 0.5612 0.9341 0.5264
23 O 0.8165 0.8165 0.9919
24 O 0.8937 0.5216 0.9840
25 O 0.9341 0.5612 0.5264
26 O 0.9788 0.1159 0.6050

Principal peaks in the range 15° ≤ 2θ ≤ 90°, in order of rising 2θ:
2θ 19.28, intensity 15
2θ 23.33, intensity 16
2θ 26.74, intensity 34
2θ 27.31, intensity 23
2θ 31.67, intensity 100
2θ 32.17, intensity 96
2θ 37.82, intensity 23
2θ 38.02, intensity 18
2θ 44.21, intensity 15
2θ 44.59, intensity 17
2θ 45.04, intensity 28
2θ 46.50, intensity 15

Repeat the eighth record exactly.
Calculated X-ray diffraction stick pattern
Compound: Sr2CuO3
Radiation: copper Kα
Structure: a DFT-relaxed cell (GGA-PBE, the Materials Project)
Lines closer than 0.1° are merged.

Unit cell a=3.5487 b=3.9732 c=12.6927 alpha=90.00 beta=90.00 gamma=90.00
Fractional coordinates of all 12 atoms:
1 Sr 0.0000 0.0000 0.1468
2 Sr 0.0000 0.0000 0.8532
3 Sr 0.5000 0.5000 0.3532
4 Sr 0.5000 0.5000 0.6468
5 Cu 0.0000 0.0000 0.5000
6 Cu 0.5000 0.5000 0.0000
7 O 0.0000 0.0000 0.3453
8 O 0.0000 0.0000 0.6547
9 O 0.0000 0.5000 0.5000
10 O 0.5000 0.0000 0.0000
11 O 0.5000 0.5000 0.1547
12 O 0.5000 0.5000 0.8453

Principal peaks in the range 15° ≤ 2θ ≤ 90°, in order of rising 2θ:
2θ 30.87, intensity 62
2θ 32.94, intensity 74
2θ 33.87, intensity 100
2θ 42.74, intensity 22
2θ 44.58, intensity 19
2θ 45.67, intensity 26
2θ 51.50, intensity 18
2θ 55.62, intensity 30
2θ 57.45, intensity 30
2θ 61.27, intensity 19
2θ 69.06, intensity 16
2θ 71.26, intensity 13